Record 1
Sr3ZnCoO6: calculated powder diffractogram (Cu Kα (weighted mean of Kα1 and Kα2)), based on a structure optimized by DFT (GGA+U).

The 12 most intense peaks (2θ from 10° to 90°), most intense first:
(hkl)  d/Å  2θ (°)  intensity
3 0 0  2.767  32.4  100.0
1 1 3  2.906  30.8  79.8
2 2 3  2.004  45.3  48.6
3 2 4  1.564  59.1  20.8
2 1 4  2.064  43.9  20.8
0 2 4  2.287  39.4  18.8
1 3 1  2.253  40.0  17.3
3 0 6  1.525  60.7  15.0
1 4 3  1.623  56.7  14.4
3 3 0  1.597  57.7  14.0
6 0 0  1.383  67.7  12.2
2 3 2  1.798  50.8  11.0

Atomic structure:
```
data_Sr3ZnCoO6
_space_group_name_H-M_alt 'R -3 c'
_space_group_IT_number 167
_space_group_name_Hall '-R 3 2"c'
_cell_length_a 9.5841
_cell_length_b 9.5841
_cell_length_c 10.9644
_cell_angle_alpha 90.00
_cell_angle_beta 90.00
_cell_angle_gamma 120.00
loop_
_atom_site_label
_atom_site_type_symbol
_atom_site_fract_x
_atom_site_fract_y
_atom_site_fract_z
Sr1 Sr 0.0000 0.3650 0.2500
Zn1 Zn 0.0000 0.0000 0.2500
Co1 Co 0.0000 0.0000 0.0000
O1 O 0.0197 0.1682 0.3926
```

---

Record 2
Sr2ZrCo2O6: calculated powder diffractogram (Cu Kα (weighted mean of Kα1 and Kα2)), based on a structure optimized by DFT (GGA+U).

The 12 most intense peaks (2θ from 10° to 90°), most intense first:
(hkl)  d/Å  2θ (°)  intensity
1 1 0  2.989  29.9  100.0
0 1 5  2.738  32.7  61.8
1 2 5  1.673  54.9  31.5
2 0 5  2.019  44.9  27.2
0 2 4  2.178  41.5  21.6
1 1 9  1.537  60.2  20.6
2 2 0  1.494  62.1  19.7
3 0 0  1.725  53.1  19.4
1 0 4  3.182  28.0  16.5
3 1 5  1.312  72.0  12.0
3 0 9  1.243  76.7  10.0
4 1 0  1.130  86.1  9.9

Atomic structure:
```
data_Sr2ZrCo2O6
_space_group_name_H-M_alt 'R -3 m'
_space_group_IT_number 166
_space_group_name_Hall '-R 3 2"'
_cell_length_a 5.9773
_cell_length_b 5.9773
_cell_length_c 16.1335
_cell_angle_alpha 90.00
_cell_angle_beta 90.00
_cell_angle_gamma 120.00
loop_
_atom_site_label
_atom_site_type_symbol
_atom_site_fract_x
_atom_site_fract_y
_atom_site_fract_z
Sr1 Sr 0.0000 0.0000 0.2115
Zr1 Zr 0.0000 0.0000 0.0000
Co1 Co 0.0000 0.0000 0.4302
O1 O 0.0219 0.5109 0.7512
```

---

Record 3
Ta2Co4O9: calculated powder diffractogram (Cu Kα (weighted mean of Kα1 and Kα2)), based on a structure optimized by DFT (GGA+U).

The 12 most intense peaks (2θ from 10° to 90°), most intense first:
(hkl)  d/Å  2θ (°)  intensity
1 0 4  2.800  32.0  100.0
1 1 0  2.607  34.4  71.8
1 0 0  4.515  19.7  57.8
0 2 4  1.908  47.7  36.6
2 1 4  1.540  60.1  35.2
1 1 6  1.758  52.0  32.1
3 0 0  1.505  61.6  22.8
0 1 2  3.816  23.3  19.1
1 1 4  2.105  43.0  14.6
1 3 4  1.182  81.5  13.2
1 0 10  1.362  69.0  12.6
2 1 10  1.095  89.5  12.2

Atomic structure:
```
data_Ta2Co4O9
_space_group_name_H-M_alt 'P -3 c 1'
_space_group_IT_number 165
_space_group_name_Hall '-P 3 2"c'
_cell_length_a 5.2133
_cell_length_b 5.2133
_cell_length_c 14.2808
_cell_angle_alpha 90.00
_cell_angle_beta 90.00
_cell_angle_gamma 120.00
loop_
_atom_site_label
_atom_site_type_symbol
_atom_site_fract_x
_atom_site_fract_y
_atom_site_fract_z
Ta1 Ta 0.0000 0.0000 0.1428
Co1 Co 0.3333 0.6667 0.0154
Co2 Co 0.3333 0.6667 0.3078
O1 O 0.0000 0.2875 0.2500
O2 O 0.0226 0.3420 0.9158
```

---

Record 4
Ta2CoO6: calculated powder diffractogram (Cu Kα (weighted mean of Kα1 and Kα2)), based on a structure optimized by DFT (GGA+U).

The 12 most intense peaks (2θ from 10° to 90°), most intense first:
(hkl)  d/Å  2θ (°)  intensity
1 1 1  3.178  28.1  100.0
3 0 0  2.536  35.4  35.0
3 0 2  1.705  53.8  33.8
2 2 1  1.982  45.8  22.5
1 4 1  1.562  59.2  17.8
1 1 0  4.392  20.2  16.7
0 2 1  2.933  30.5  10.3
1 1 3  1.449  64.3  9.8
3 3 0  1.464  63.5  9.1
0 0 2  2.303  39.1  8.0
3 2 1  1.632  56.4  7.7
4 1 3  1.127  86.3  6.4

Atomic structure:
```
data_Ta2CoO6
_space_group_name_H-M_alt 'P 3 2 1'
_space_group_IT_number 150
_cell_length_a 8.7842
_cell_length_b 8.7842
_cell_length_c 4.6054
_cell_angle_alpha 90.00
_cell_angle_beta 90.00
_cell_angle_gamma 120.00
loop_
_space_group_symop_operation_xyz
'x,y,z'
'-y,x-y,z'
'-x+y,-x,z'
'y,x,-z'
'x-y,-y,-z'
'-x,-x+y,-z'
loop_
_atom_site_label
_atom_site_type_symbol
_atom_site_fract_x
_atom_site_fract_y
_atom_site_fract_z
Ta1 Ta 0.0000 0.3595 0.0000
Ta2 Ta 0.0000 0.6935 0.5000
Co1 Co 0.0000 0.0000 0.0000
Co2 Co 0.3333 0.6667 0.5049
O1 O 0.0993 0.5567 0.2610
O2 O 0.1132 0.2330 0.2356
O3 O 0.2099 0.4297 0.7423
```

---

Record 5
TaZn2CoO6: calculated powder diffractogram (Cu Kα (weighted mean of Kα1 and Kα2)), based on a structure optimized by DFT (GGA+U).

The 12 most intense peaks (2θ from 10° to 90°), most intense first:
(hkl)  d/Å  2θ (°)  intensity
1 2 -1  2.650  33.8  100.0
1 2 1  2.632  34.1  99.1
0 0 2  2.621  34.2  47.7
2 0 0  2.577  34.8  44.8
1 0 0  5.153  17.2  27.1
0 0 1  5.242  16.9  27.0
0 4 0  1.899  47.9  26.4
3 2 1  1.495  62.1  23.8
3 2 -1  1.505  61.6  22.8
0 4 2  1.538  60.2  22.5
2 4 0  1.529  60.6  22.0
2 0 2  1.826  50.0  21.9

Atomic structure:
```
data_TaZn2CoO6
_space_group_name_H-M_alt 'P 1 21/m 1'
_space_group_IT_number 11
_cell_length_a 5.153
_cell_length_b 7.596
_cell_length_c 5.243
_cell_angle_alpha 90.00
_cell_angle_beta 90.75
_cell_angle_gamma 90.00
loop_
_space_group_symop_operation_xyz
'x,y,z'
'-x,-y,-z'
'-x,y+1/2,-z'
'x,-y+1/2,z'
loop_
_atom_site_label
_atom_site_type_symbol
_atom_site_fract_x
_atom_site_fract_y
_atom_site_fract_z
Ta1 Ta 0.000 0.000 0.000
Zn1 Zn 0.007 0.250 0.479
Zn2 Zn 0.491 0.750 0.050
Co1 Co 0.500 0.000 0.500
O1 O 0.120 0.250 0.058
O2 O 0.184 0.562 0.320
O3 O 0.321 0.562 0.813
O4 O 0.384 0.250 0.574
```

---

Record 6
ZrTaCoO6: calculated powder diffractogram (Cu Kα (weighted mean of Kα1 and Kα2)), based on a structure optimized by DFT (GGA+U).

The 12 most intense peaks (2θ from 10° to 90°), most intense first:
(hkl)  d/Å  2θ (°)  intensity
1 1 0  3.403  26.2  100.0
1 0 3  2.592  34.6  71.5
2 1 3  1.763  51.8  63.2
1 0 1  4.267  20.8  30.2
2 0 0  2.406  37.4  21.8
3 0 3  1.422  65.6  19.3
1 1 6  1.401  66.7  16.6
2 2 0  1.701  53.9  16.2
3 1 0  1.522  60.9  14.6
3 2 3  1.224  78.0  12.2
4 1 3  1.091  89.9  11.6
1 1 2  2.739  32.7  10.1

Atomic structure:
```
data_ZrTaCoO6
_space_group_name_H-M_alt 'P 42 n m'
_space_group_IT_number 102
_cell_length_a 4.812
_cell_length_b 4.812
_cell_length_c 9.229
_cell_angle_alpha 90.00
_cell_angle_beta 90.00
_cell_angle_gamma 90.00
loop_
_space_group_symop_operation_xyz
'x,y,z'
'-y+1/2,x+1/2,z+1/2'
'-x,-y,z'
'y+1/2,-x+1/2,z+1/2'
'-x+1/2,y+1/2,z+1/2'
'y,x,z'
'x+1/2,-y+1/2,z+1/2'
'-y,-x,z'
loop_
_atom_site_label
_atom_site_type_symbol
_atom_site_fract_x
_atom_site_fract_y
_atom_site_fract_z
Zr1 Zr 0.000 0.000 0.000
Ta1 Ta 0.000 0.000 0.666
Co1 Co 0.000 0.000 0.330
O1 O 0.185 0.185 0.492
O2 O 0.195 0.195 0.819
O3 O 0.200 0.200 0.171
```